Sm4CICl2F2: simulated X-ray powder pattern (Cu Kα), based on a DFT-relaxed cell (GGA-PBE, OQMD).
Intensities are scaled so that the largest is 100.

Structural model:
```
data_Sm4CICl2F2
_chemical_formula_sum 'Sm8 C2 I2 Cl4 F4'
_cell_length_a 15.590
_cell_length_b 3.825
_cell_length_c 8.680
_cell_angle_alpha 90.00
_cell_angle_beta 109.79
_cell_angle_gamma 90.00
_space_group_name_H-M_alt 'C 1 2/m 1'
_space_group_IT_number 12
loop_
_space_group_symop_operation_xyz
'x,y,z'
'-x,-y,-z'
'-x,y,-z'
'x,-y,z'
'x+1/2,y+1/2,z'
'-x+1/2,-y+1/2,-z'
'-x+1/2,y+1/2,-z'
'x+1/2,-y+1/2,z'
loop_
_atom_site_label
_atom_site_type_symbol
_atom_site_fract_x
_atom_site_fract_y
_atom_site_fract_z
Sm1 Sm 0.003 0.000 0.308
Sm2 Sm 0.164 0.500 0.596
C1 C 0.000 0.500 0.500
I1 I 0.000 0.500 0.000
Cl1 Cl 0.189 0.000 0.833
F1 F 0.177 0.000 0.427
```

Most intense lines, 10° ≤ 2θ ≤ 80°, sorted by position:
- 2θ 10.83, 8.167 Å, I = 59.2, (0 0 1)
- 2θ 12.07, 7.335 Å, I = 38.3, (2 0 0)
- 2θ 18.80, 4.720 Å, I = 25.9, (2 0 1)
- 2θ 22.98, 3.871 Å, I = 26.3, (4 0 -1)
- 2θ 29.38, 3.040 Å, I = 35.8, (3 1 -1)
- 2θ 29.65, 3.013 Å, I = 25.3, (3 1 0)
- 2θ 31.20, 2.867 Å, I = 100.0, (1 1 -2)
- 2θ 33.76, 2.655 Å, I = 58.0, (4 0 -3)
- 2θ 36.76, 2.445 Å, I = 38.0, (6 0 0)
- 2θ 47.87, 1.900 Å, I = 30.0, (7 1 -2)


Cu3Te2S6Cl2: simulated X-ray powder pattern (Cu Kα), based on a DFT-relaxed cell (GGA-PBE, OQMD).
Intensities are scaled so that the largest is 100.

Structural model:
```
data_Cu3Te2S6Cl2
_chemical_formula_sum 'Cu6 Te4 S12 Cl4'
_cell_length_a 10.600
_cell_length_b 7.462
_cell_length_c 7.969
_cell_angle_alpha 90.00
_cell_angle_beta 102.54
_cell_angle_gamma 90.00
_space_group_name_H-M_alt 'C 1 2/m 1'
_space_group_IT_number 12
loop_
_space_group_symop_operation_xyz
'x,y,z'
'-x,-y,-z'
'-x,y,-z'
'x,-y,z'
'x+1/2,y+1/2,z'
'-x+1/2,-y+1/2,-z'
'-x+1/2,y+1/2,-z'
'x+1/2,-y+1/2,z'
loop_
_atom_site_label
_atom_site_type_symbol
_atom_site_fract_x
_atom_site_fract_y
_atom_site_fract_z
Cu1 Cu 0.000 0.000 0.000
Cu2 Cu 0.022 0.500 0.771
Te1 Te 0.157 0.000 0.664
S1 S 0.007 0.193 0.779
S2 S 0.156 0.500 0.109
Cl1 Cl 0.173 0.500 0.615
```

Most intense lines, 10° ≤ 2θ ≤ 80°, sorted by position:
- 2θ 17.14, 5.174 Å, I = 28.4, (2 0 0)
- 2θ 17.39, 5.101 Å, I = 47.7, (1 1 -1)
- 2θ 22.61, 3.932 Å, I = 81.8, (2 0 1)
- 2θ 22.87, 3.889 Å, I = 38.1, (0 0 2)
- 2θ 23.85, 3.731 Å, I = 100.0, (0 2 0)
- 2θ 31.64, 2.828 Å, I = 40.7, (2 0 2)
- 2θ 33.05, 2.710 Å, I = 82.8, (2 2 1)
- 2θ 35.19, 2.550 Å, I = 44.8, (2 2 -2)
- 2θ 48.09, 1.892 Å, I = 30.2, (3 3 -2)
- 2θ 53.10, 1.725 Å, I = 29.8, (6 0 0)